# Sm3Mg
Simulated powder XRD pattern, λ = 1.5418 Å (Cu Kα). Input: a crystal structure in the Materials Project, relaxed with GGA-PBE.

```
data_Sm3Mg
_cell_length_a 4.958
_cell_length_b 4.958
_cell_length_c 10.049
_cell_angle_alpha 90.00
_cell_angle_beta 90.00
_cell_angle_gamma 90.00
_space_group_name_H-M_alt 'I 4/m m m'
_space_group_IT_number 139
_space_group_name_Hall '-I 4 2'
loop_
_atom_site_label
_atom_site_type_symbol
_atom_site_fract_x
_atom_site_fract_y
_atom_site_fract_z
Sm1 Sm 0.000 0.000 0.000
Sm2 Sm 0.000 0.500 0.250
Mg1 Mg 0.000 0.000 0.500
```

Top 10 peaks for 2θ from 15° to 90°, in order of falling intensity:
31.11 deg, intensity 100, (1 1 2); 36.24 deg, intensity 33, (2 0 0); 62.01 deg, intensity 28, (3 1 2); 51.81 deg, intensity 24, (2 0 4); 19.97 deg, intensity 20, (1 0 1); 35.74 deg, intensity 17, (0 0 4); 61.34 deg, intensity 14, (1 1 6); 64.86 deg, intensity 12, (2 2 4); 52.18 deg, intensity 12, (2 2 0); 84.68 deg, intensity 12, (3 1 6)

# Sm2Mg
Simulated powder XRD pattern, λ = 1.5418 Å (Cu Kα). Input: a crystal structure in the Materials Project, relaxed with GGA-PBE.

```
data_Sm2Mg
_cell_length_a 3.771
_cell_length_b 17.401
_cell_length_c 5.590
_cell_angle_alpha 90.00
_cell_angle_beta 90.00
_cell_angle_gamma 90.00
_space_group_name_H-M_alt 'C m c m'
_space_group_IT_number 63
_space_group_name_Hall '-C 2c 2'
loop_
_atom_site_label
_atom_site_type_symbol
_atom_site_fract_x
_atom_site_fract_y
_atom_site_fract_z
Sm1 Sm 0.000 0.090 0.250
Sm2 Sm 0.000 0.228 0.750
Mg1 Mg 0.000 0.433 0.250
```

Top 10 peaks for 2θ from 15° to 90°, in order of falling intensity:
32.54 deg, intensity 100, (1 3 1); 32.02 deg, intensity 29, (0 0 2); 25.95 deg, intensity 27, (0 4 1); 30.83 deg, intensity 21, (0 6 0); 57.40 deg, intensity 20, (1 3 3); 24.15 deg, intensity 17, (1 1 0); 45.05 deg, intensity 15, (0 6 2); 34.85 deg, intensity 12, (0 6 1); 18.87 deg, intensity 11, (0 2 1); 59.11 deg, intensity 10, (2 0 2)

# Sm2Mg
Simulated powder XRD pattern, λ = 1.5418 Å (Cu Kα). Input: a crystal structure in the Materials Project, relaxed with GGA-PBE.

```
data_Sm2Mg
_cell_length_a 13.575
_cell_length_b 3.732
_cell_length_c 7.494
_cell_angle_alpha 90.00
_cell_angle_beta 105.87
_cell_angle_gamma 90.00
_space_group_name_H-M_alt 'C 1 2/m 1'
_space_group_IT_number 12
_space_group_name_Hall '-C 2y'
loop_
_atom_site_label
_atom_site_type_symbol
_atom_site_fract_x
_atom_site_fract_y
_atom_site_fract_z
Sm1 Sm 0.153 0.000 0.071
Sm2 Sm 0.164 0.000 0.587
Mg1 Mg 0.004 0.500 0.264
```

Top 10 peaks for 2θ from 15° to 90°, in order of falling intensity:
31.50 deg, intensity 100, (4 0 -2); 31.58 deg, intensity 100, (3 1 0); 33.90 deg, intensity 85, (1 1 -2); 24.72 deg, intensity 34, (2 0 -2); 24.81 deg, intensity 34, (1 1 0); 59.20 deg, intensity 33, (5 1 -4); 44.07 deg, intensity 23, (5 1 -2); 41.49 deg, intensity 21, (6 0 0); 27.32 deg, intensity 21, (4 0 0); 54.67 deg, intensity 20, (7 1 -2)

# Sm4Mg
Simulated powder XRD pattern, λ = 1.5418 Å (Cu Kα). Input: a crystal structure in the Materials Project, relaxed with GGA-PBE.

Cell: 11.379 11.379 11.379 Å, 90.00 90.00 90.00°
Space group Fd-3m (No. 227, origin choice 2)
Asymmetric unit:
Sm (0.021, 0.021, 0.229)
Mg (0.125, 0.125, 0.625)

Top 10 peaks for 2θ from 15° to 90°, in order of falling intensity:
27.15 deg, intensity 100, (2 2 2); 31.45 deg, intensity 43, (4 0 0); 41.23 deg, intensity 34, (3 3 3); 45.07 deg, intensity 29, (4 4 0); 53.41 deg, intensity 24, (6 2 2); 34.35 deg, intensity 20, (3 3 1); 57.87 deg, intensity 18, (5 5 1); 88.99 deg, intensity 14, (7 7 3); 62.72 deg, intensity 14, (7 3 1); 67.36 deg, intensity 12, (7 3 3)

# Sm2Mg
Simulated powder XRD pattern, λ = 1.5418 Å (Cu Kα). Input: a crystal structure in the Materials Project, relaxed with GGA-PBE.

```
data_Sm2Mg
_cell_length_a 3.802
_cell_length_b 3.802
_cell_length_c 12.715
_cell_angle_alpha 90.00
_cell_angle_beta 90.00
_cell_angle_gamma 90.00
_space_group_name_H-M_alt 'I 4/m m m'
_space_group_IT_number 139
_space_group_name_Hall '-I 4 2'
loop_
_atom_site_label
_atom_site_type_symbol
_atom_site_fract_x
_atom_site_fract_y
_atom_site_fract_z
Sm1 Sm 0.000 0.000 0.157
Mg1 Mg 0.000 0.000 0.500
```

Top 10 peaks for 2θ from 15° to 90°, in order of falling intensity:
31.61 deg, intensity 100, (1 0 3); 33.32 deg, intensity 45, (1 1 0); 24.43 deg, intensity 36, (1 0 1); 58.48 deg, intensity 35, (2 1 3); 55.19 deg, intensity 19, (1 1 6); 47.84 deg, intensity 16, (2 0 0); 44.11 deg, intensity 13, (1 1 4); 66.02 deg, intensity 11, (2 0 6); 28.07 deg, intensity 11, (0 0 4); 42.66 deg, intensity 10, (0 0 6)

Question: Which formula does entry 2 have?
Answer: Sm2Mg